[1]
Diffraction record for CaBe4Se3O12. The powder diffractogram is computed, not measured: it uses a cell relaxed with GGA-PBE and Cu Kα, 1.54184 Å.
Lines closer than 0.1° are merged.

Principal peaks in the range 2θ from 15° to 90°, by angle:
17.70°, I = 58
23.61°, I = 100
29.66°, I = 36
31.29°, I = 99
35.84°, I = 20
44.55°, I = 62
51.28°, I = 24
52.58°, I = 17
54.97°, I = 17
62.25°, I = 18

Structural model:
Cell: 6.3169 6.3169 6.3169 Å, 105.00 105.00 105.00°
Element x y z (fractional)
Ca (0.0000, 0.0000, 0.0000)
Be (0.0632, 0.5000, 0.9368)
Be (0.5000, 0.5000, 0.5000)
Be (0.5000, 0.9368, 0.0632)
Be (0.9368, 0.0632, 0.5000)
Se (0.0000, 0.5517, 0.4483)
Se (0.4483, 0.0000, 0.5517)
Se (0.5517, 0.4483, 0.0000)
O (0.0243, 0.6301, 0.7621)
O (0.0912, 0.9088, 0.5000)
O (0.2379, 0.3699, 0.9757)
O (0.3452, 0.6548, 0.5000)
O (0.3699, 0.9757, 0.2379)
O (0.5000, 0.0912, 0.9088)
O (0.5000, 0.3452, 0.6548)
O (0.6301, 0.7621, 0.0243)
O (0.6548, 0.5000, 0.3452)
O (0.7621, 0.0243, 0.6301)
O (0.9088, 0.5000, 0.0912)
O (0.9757, 0.2379, 0.3699)

[2]
Diffraction record for CaBe2Si2Os. The powder diffractogram is computed, not measured: it uses a cell relaxed with GGA-PBE and Cu Kα, 1.54184 Å.
Lines closer than 0.1° are merged.

Principal peaks in the range 2θ from 15° to 90°, by angle:
26.12°, I = 20
26.31°, I = 72
29.44°, I = 55
37.41°, I = 100
46.42°, I = 37
48.19°, I = 23
48.41°, I = 21
60.80°, I = 18
61.08°, I = 24
80.04°, I = 22

Structural model:
Cell: 3.9120 3.9120 6.8229 Å, 90.00 90.00 120.00°
Element x y z (fractional)
Ca (0.0000, 0.0000, 0.0000)
Be (0.3333, 0.6667, 0.3723)
Be (0.6667, 0.3333, 0.6277)
Si (0.3333, 0.6667, 0.7123)
Si (0.6667, 0.3333, 0.2877)
Os (0.0000, 0.0000, 0.5000)

[3]
Diffraction record for CaBeP. The powder diffractogram is computed, not measured: it uses a cell relaxed with GGA-PBE and Cu Kα, 1.54184 Å.
Lines closer than 0.1° are merged.

Principal peaks in the range 2θ from 15° to 90°, by angle:
25.46°, I = 37
28.40°, I = 60
30.74°, I = 34
30.86°, I = 72
31.20°, I = 85
34.61°, I = 70
36.12°, I = 100
42.34°, I = 78
42.53°, I = 55
48.76°, I = 35

Structural model:
Cell: 5.5576 5.5576 6.0667 Å, 106.20 106.20 39.27°
Element x y z (fractional)
Ca (0.0000, 0.0000, 0.0000)
Ca (0.6611, 0.6611, 0.5709)
Be (0.3656, 0.3656, 0.2973)
Be (0.7432, 0.7432, 0.1262)
P (0.2696, 0.2696, 0.9379)
P (0.9238, 0.9238, 0.4618)

[4]
Diffraction record for CaBeP. The powder diffractogram is computed, not measured: it uses a cell relaxed with GGA-PBE and Cu Kα, 1.54184 Å.
Lines closer than 0.1° are merged.

Principal peaks in the range 2θ from 15° to 90°, by angle:
27.59°, I = 23
34.87°, I = 100
42.56°, I = 14
48.78°, I = 27
51.47°, I = 7
56.96°, I = 3
61.35°, I = 17
66.70°, I = 20
72.93°, I = 10
82.05°, I = 14

Structural model:
Cell: 3.7336 3.7336 4.2485 Å, 90.00 90.00 120.00°
Element x y z (fractional)
Ca (0.0000, 0.0000, 0.0000)
Be (0.6667, 0.3333, 0.5000)
P (0.3333, 0.6667, 0.5000)

[5]
Diffraction record for CaBe4P. The powder diffractogram is computed, not measured: it uses a cell relaxed with GGA-PBE and Cu Kα, 1.54184 Å.
Lines closer than 0.1° are merged.

Principal peaks in the range 2θ from 15° to 90°, by angle:
22.76°, I = 77
37.60°, I = 100
44.41°, I = 92
46.49°, I = 5
54.23°, I = 7
59.56°, I = 14
67.86°, I = 31
72.60°, I = 26
80.26°, I = 17
84.76°, I = 9

Structural model:
Cell: 4.7844 4.7844 4.7844 Å, 60.00 60.00 60.00°
Element x y z (fractional)
Ca (0.0000, 0.0000, 0.0000)
Be (0.3723, 0.3723, 0.3723)
Be (0.3723, 0.3723, 0.8832)
Be (0.3723, 0.8832, 0.3723)
Be (0.8832, 0.3723, 0.3723)
P (0.7500, 0.7500, 0.7500)

[6]
Diffraction record for CaBeP4. The powder diffractogram is computed, not measured: it uses a cell relaxed with GGA-PBE and Cu Kα, 1.54184 Å.
Lines closer than 0.1° are merged.

Principal peaks in the range 2θ from 15° to 90°, by angle:
20.87°, I = 24
24.14°, I = 28
34.41°, I = 22
40.59°, I = 100
42.48°, I = 49
54.24°, I = 10
65.83°, I = 34
72.53°, I = 24
86.59°, I = 9
87.84°, I = 17

Structural model:
Cell: 5.2129 5.2129 5.2129 Å, 60.00 60.00 60.00°
Element x y z (fractional)
Ca (0.0000, 0.0000, 0.0000)
Be (0.2500, 0.2500, 0.2500)
P (0.1506, 0.6165, 0.6165)
P (0.6165, 0.1506, 0.6165)
P (0.6165, 0.6165, 0.1506)
P (0.6165, 0.6165, 0.6165)

[7]
Diffraction record for CaBePb. The powder diffractogram is computed, not measured: it uses a cell relaxed with GGA-PBE and Cu Kα, 1.54184 Å.
Lines closer than 0.1° are merged.

Principal peaks in the range 2θ from 15° to 90°, by angle:
19.62°, I = 27
23.84°, I = 61
31.06°, I = 100
41.92°, I = 28
46.69°, I = 19
46.97°, I = 22
53.09°, I = 23
59.22°, I = 20
66.92°, I = 11
69.84°, I = 20

Structural model:
Cell: 4.3098 4.3098 4.5242 Å, 90.00 90.00 120.00°
Element x y z (fractional)
Ca (0.0000, 0.0000, 0.0000)
Be (0.3333, 0.6667, 0.5000)
Pb (0.6667, 0.3333, 0.5000)

[8]
Diffraction record for Ca2BePd3. The powder diffractogram is computed, not measured: it uses a cell relaxed with GGA-PBE and Cu Kα, 1.54184 Å.
Lines closer than 0.1° are merged.

Principal peaks in the range 2θ from 15° to 90°, by angle:
22.55°, I = 58
23.70°, I = 27
35.54°, I = 29
37.80°, I = 100
39.42°, I = 39
40.12°, I = 64
48.49°, I = 21
54.11°, I = 18
66.67°, I = 22
67.53°, I = 18

Structural model:
Cell: 5.1027 5.1027 5.1027 Å, 66.71 66.71 66.71°
Element x y z (fractional)
Ca (0.1282, 0.1282, 0.1282)
Ca (0.8718, 0.8718, 0.8718)
Be (0.5000, 0.5000, 0.5000)
Pd (0.0000, 0.5000, 0.5000)
Pd (0.5000, 0.0000, 0.5000)
Pd (0.5000, 0.5000, 0.0000)